# 1
The following is a simulated powder X-ray diffraction pattern of CaNb2P6O21. It was derived from a crystal structure in the Materials Project, relaxed with GGA-PBE, using a wavelength of 1.5418 Å.
No peak broadening, texture or thermal motion is included.

Structure:
```
60
Lattice="6.745 -5.388 0.000 6.745 5.388 0.000 -1.343 0.000 12.540" Properties=species:S:1:pos:R:3 pbc="T T T"
Ca 2.846 0.000 1.723
Ca 9.299 0.000 10.817
Nb 6.073 2.748 6.270
Nb 2.749 0.000 10.294
Nb 9.397 0.000 2.245
Nb 6.073 -2.748 6.270
P 4.945 2.799 2.929
P 1.344 0.000 5.141
P 4.733 2.560 11.252
P 7.412 2.560 1.288
P 3.901 0.000 6.809
P 7.201 2.799 9.610
P 4.945 -2.799 2.929
P 8.245 0.000 5.730
P 4.733 -2.560 11.252
P 7.412 -2.560 1.288
P 10.801 0.000 7.399
P 7.201 -2.799 9.610
O 4.692 4.142 6.710
O 3.748 3.589 11.657
O 1.432 1.418 9.730
O 1.333 0.000 3.655
O 6.199 3.279 2.035
O 5.512 2.801 4.386
O 4.429 1.474 2.517
O 7.454 4.142 5.830
O 5.947 3.279 10.505
O 2.898 0.000 5.566
O 4.258 1.412 10.364
O 2.409 0.000 12.019
O 4.754 1.271 6.605
O 6.633 2.801 8.153
O 8.397 3.589 0.883
O 3.164 0.000 8.102
O 1.432 -1.418 9.730
O 6.745 1.847 0.000
O 7.888 1.412 2.176
O 7.391 1.271 5.935
O 4.429 -1.474 2.517
O 7.717 1.474 10.023
O 4.754 -1.271 6.605
O 4.258 -1.412 10.364
O 6.745 -1.847 0.000
O 10.713 1.418 2.810
O 8.982 0.000 4.437
O 3.748 -3.589 11.657
O 5.512 -2.801 4.386
O 7.391 -1.271 5.935
O 9.737 0.000 0.520
O 7.888 -1.412 2.176
O 9.247 0.000 6.973
O 6.199 -3.279 2.035
O 4.692 -4.142 6.710
O 7.717 -1.474 10.023
O 6.633 -2.801 8.153
O 5.947 -3.279 10.505
O 10.812 0.000 8.884
O 10.713 -1.418 2.810
O 8.397 -3.589 0.883
O 7.454 -4.142 5.830
```

The 10 most intense peaks (10° ≤ 2θ ≤ 90°), sorted by position:
Position (°2θ)  Rel. int.
12.3  12
15.6  11
18.3  16
21.2  100
21.3  41
21.9  16
23.9  13
31.2  19
32.9  17
33.4  18

---

# 2
The following is a simulated powder X-ray diffraction pattern of CaNb2P2O11. It was derived from a crystal structure in the Materials Project, relaxed with GGA-PBE, using a wavelength of 1.5418 Å.
No peak broadening, texture or thermal motion is included.

Structure:
```
32
Lattice="7.571 -5.488 0.000 7.571 5.488 0.000 -0.335 0.000 5.286" Properties=species:S:1:pos:R:3 pbc="T T T"
Ca 7.320 4.327 3.964
Ca 7.487 -4.327 1.321
Nb 5.419 1.320 4.025
Nb 5.587 -1.320 1.382
Nb 9.220 1.320 3.903
Nb 9.388 -1.320 1.260
P 5.260 3.653 1.347
P 9.714 3.653 1.296
P 5.093 -3.653 3.990
P 9.547 -3.653 3.939
O 1.063 0.758 3.355
O 5.448 3.145 5.260
O 3.418 1.285 4.154
O 5.171 2.477 2.362
O 1.230 -0.758 0.712
O 9.192 3.145 2.669
O 7.320 1.824 3.964
O 3.586 -1.285 1.511
O 5.831 0.267 0.384
O 5.664 -0.267 3.027
O 9.804 2.477 0.281
O 5.004 -2.477 5.005
O 9.143 0.267 2.259
O 8.976 -0.267 4.902
O 11.221 1.285 3.775
O 7.487 -1.824 1.321
O 5.615 -3.145 2.617
O 13.577 0.758 4.574
O 9.636 -2.477 2.923
O 11.389 -1.285 1.132
O 9.359 -3.145 0.026
O 13.744 -0.758 1.931
```

The 10 most intense peaks (10° ≤ 2θ ≤ 90°), sorted by position:
Position (°2θ)  Rel. int.
19.2  13
19.4  26
19.9  16
23.4  100
23.5  50
30.5  13
32.6  53
33.9  18
34.2  26
47.8  26

---

# 3
The following is a simulated powder X-ray diffraction pattern of RbCa2Nb3O10. It was derived from a crystal structure in the Materials Project, relaxed with GGA-PBE, using a wavelength of 1.5418 Å.
No peak broadening, texture or thermal motion is included.

Structure:
```
16
Lattice="3.966 0.000 0.000 0.000 3.966 0.000 0.000 0.000 15.283" Properties=species:S:1:pos:R:3 pbc="T T T"
Rb 0.000 0.000 0.000
Ca 0.000 0.000 5.342
Ca 0.000 0.000 9.941
Nb 1.983 1.983 3.336
Nb 1.983 1.983 7.642
Nb 1.983 1.983 11.947
O 0.000 1.983 3.763
O 0.000 1.983 7.642
O 0.000 1.983 11.521
O 1.983 0.000 3.763
O 1.983 0.000 7.642
O 1.983 0.000 11.521
O 1.983 1.983 1.534
O 1.983 1.983 5.661
O 1.983 1.983 9.623
O 1.983 1.983 13.749
```

The 10 most intense peaks (10° ≤ 2θ ≤ 90°), sorted by position:
Position (°2θ)  Rel. int.
22.4  25
23.3  28
25.3  19
28.5  100
31.9  53
45.8  39
47.6  25
51.9  14
54.8  30
68.1  19